Starting from a crystal structure in Alexandria, relaxed with GGA-PBE, the X-ray diffraction stick pattern of AcTl6Hg23 was simulated for a wavelength of 1.5418 Å.

Peak list (6 most intense, 10 to 90 degrees two-theta, by intensity)
two_theta  Rel. int.
33.6  100
60.2  23
30.8  17
48.3  13
26.4  9
35.7  8

Structure:
abc: 10.6575 10.6575 10.6575
angles: 60.00 60.00 60.00
Fractional coordinates of all 30 atoms:
Ac 0.0000 0.0000 0.0000
Tl 0.2815 0.2815 0.7185
Tl 0.2815 0.7185 0.2815
Tl 0.2815 0.7185 0.7185
Tl 0.7185 0.2815 0.2815
Tl 0.7185 0.2815 0.7185
Tl 0.7185 0.7185 0.2815
Hg 0.0000 0.0000 0.5000
Hg 0.0000 0.5000 0.0000
Hg 0.0000 0.5000 0.5000
Hg 0.0426 0.6525 0.6525
Hg 0.1274 0.1274 0.1274
Hg 0.1274 0.1274 0.6177
Hg 0.1274 0.6177 0.1274
Hg 0.3475 0.3475 0.3475
Hg 0.3475 0.3475 0.9574
Hg 0.3475 0.9574 0.3475
Hg 0.3823 0.8726 0.8726
Hg 0.5000 0.0000 0.0000
Hg 0.5000 0.0000 0.5000
Hg 0.5000 0.5000 0.0000
Hg 0.5000 0.5000 0.5000
Hg 0.6177 0.1274 0.1274
Hg 0.6525 0.0426 0.6525
Hg 0.6525 0.6525 0.0426
Hg 0.6525 0.6525 0.6525
Hg 0.8726 0.3823 0.8726
Hg 0.8726 0.8726 0.3823
Hg 0.8726 0.8726 0.8726
Hg 0.9574 0.3475 0.3475

Starting from a crystal structure in Alexandria, relaxed with GGA-PBE, the X-ray diffraction stick pattern of HfPaAl was simulated for a wavelength of 1.5418 Å.

Peak list (6 most intense, 10 to 90 degrees two-theta, by intensity)
two_theta  Rel. int.
35.2  100
41.5  33
29.8  32
13.0  32
71.6  26
58.8  22

Structure:
abc: 7.1446 7.1446 7.1446
angles: 155.12 155.12 35.47
Fractional coordinates of all 3 atoms:
Hf 0.0000 0.0000 0.0000
Pa 0.3202 0.3202 0.0000
Al 0.6503 0.6503 0.0000